Diffraction record for HoAgSe2. The X-ray powder pattern is calculated, not measured: it uses DFT lattice parameters and positions (GGA-PBE) and Cu Kα (weighted mean of Kα1 and Kα2).
No peak broadening, texture or thermal motion is included.

The 10 most intense peaks (2θ from 10° to 80°), by angle:
index	Position (°2θ)	I (rel.)
3 1 -1	26.6	22
4 0 0	29.5	56
0 2 0	31.4	100
4 2 0	43.6	76
2 2 -2	44.9	36
2 2 2	54.7	39
0 4 0	65.4	12
6 0 2	70.5	16
4 4 0	73.4	16
2 4 -2	74.3	16

Structure:
```
data_HoAgSe2
_chemical_formula_sum 'Ho4 Ag4 Se8'
_symmetry_space_group_name_H-M 'C 1 m 1'
_symmetry_Int_Tables_number 8
_cell_length_a 13.3758
_cell_length_b 5.7044
_cell_length_c 5.7078
_cell_angle_alpha 90.00
_cell_angle_beta 115.23
_cell_angle_gamma 90.00
loop_
_symmetry_equiv_pos_as_xyz
'x,y,z'
'x,-y,z'
'x+1/2,y+1/2,z'
'x+1/2,-y+1/2,z'
loop_
_atom_site_label
_atom_site_type_symbol
_atom_site_fract_x
_atom_site_fract_y
_atom_site_fract_z
Ho1 Ho 0.0000 0.0000 0.0000
Ho2 Ho 0.2497 0.0000 0.7496
Ag1 Ag 0.2478 0.5000 0.2349
Ag2 Ag 0.4995 0.0000 0.4963
Se1 Se 0.0134 0.0000 0.5129
Se2 Se 0.2362 0.0000 0.2347
Se3 Se 0.2633 0.5000 0.7551
Se4 Se 0.4859 0.0000 0.9841
```